Calculated powder diffraction line list
Compound: TiNiSn
Radiation: Cu Ka
Structure: a DFT-relaxed cell (GGA-PBE, the Materials Project)
Peak positions follow from Bragg's law for the DFT cell and can differ from measured ones.

Structural model:
```
data_TiNiSn
_space_group_name_H-M_alt 'F -4 3 m'
_space_group_IT_number 216
_space_group_name_Hall 'F -4 2 3'
_cell_length_a 5.915
_cell_length_b 5.915
_cell_length_c 5.915
_cell_angle_alpha 90.00
_cell_angle_beta 90.00
_cell_angle_gamma 90.00
loop_
_atom_site_label
_atom_site_type_symbol
_atom_site_fract_x
_atom_site_fract_y
_atom_site_fract_z
Ti1 Ti 0.000 0.000 0.000
Ni1 Ni 0.250 0.250 0.750
Sn1 Sn 0.000 0.000 0.500
```

Most intense lines, 2θ from 10° to 90°, by angle:
| Position (°2θ) | I (rel.) | (hkl) |
| --- | --- | --- |
| 26.09 | 45 | 1 1 1 |
| 30.22 | 26 | 2 0 0 |
| 43.26 | 100 | 2 2 0 |
| 51.22 | 23 | 3 1 1 |
| 53.68 | 7 | 2 2 2 |
| 62.84 | 16 | 4 0 0 |
| 69.24 | 10 | 3 3 1 |
| 71.30 | 10 | 4 2 0 |
| 79.36 | 33 | 4 2 2 |
| 85.25 | 8 | 5 1 1 |

***

Calculated powder diffraction line list
Compound: TiNi2Sn
Radiation: Cu Ka
Structure: a DFT-relaxed cell (GGA-PBE, the Materials Project)
Peak positions follow from Bragg's law for the DFT cell and can differ from measured ones.

Structural model:
```
data_TiNi2Sn
_space_group_name_H-M_alt 'P 4/m m m'
_space_group_IT_number 123
_space_group_name_Hall '-P 4 2'
_cell_length_a 3.199
_cell_length_b 3.199
_cell_length_c 5.829
_cell_angle_alpha 90.00
_cell_angle_beta 90.00
_cell_angle_gamma 90.00
loop_
_atom_site_label
_atom_site_type_symbol
_atom_site_fract_x
_atom_site_fract_y
_atom_site_fract_z
Ti1 Ti 0.000 0.000 0.000
Ni1 Ni 0.500 0.500 0.215
Sn1 Sn 0.000 0.000 0.500
```

Most intense lines, 2θ from 10° to 90°, by angle:
| Position (°2θ) | I (rel.) | (hkl) |
| --- | --- | --- |
| 15.20 | 6 | 0 0 1 |
| 31.91 | 27 | 1 0 1 |
| 39.85 | 63 | 1 1 0 |
| 41.94 | 100 | 1 0 2 |
| 57.63 | 21 | 2 0 0 |
| 63.08 | 9 | 1 1 3 |
| 67.41 | 7 | 2 1 1 |
| 73.78 | 36 | 2 1 2 |
| 78.00 | 12 | 1 1 4 |
| 85.95 | 7 | 2 2 0 |

***

Calculated powder diffraction line list
Compound: TmNiSn2
Radiation: Cu Ka
Structure: a DFT-relaxed cell (GGA-PBE, the Materials Project)
Peak positions follow from Bragg's law for the DFT cell and can differ from measured ones.

Structural model:
```
data_TmNiSn2
_space_group_name_H-M_alt 'P n m a'
_space_group_IT_number 62
_cell_length_a 16.058
_cell_length_b 4.407
_cell_length_c 14.536
_cell_angle_alpha 90.00
_cell_angle_beta 90.00
_cell_angle_gamma 90.00
loop_
_space_group_symop_operation_xyz
'x,y,z'
'-x,-y,-z'
'-x+1/2,-y,z+1/2'
'x+1/2,y,-z+1/2'
'x+1/2,-y+1/2,-z+1/2'
'-x+1/2,y+1/2,z+1/2'
'-x,y+1/2,-z'
'x,-y+1/2,z'
loop_
_atom_site_label
_atom_site_type_symbol
_atom_site_fract_x
_atom_site_fract_y
_atom_site_fract_z
Tm1 Tm 0.126 0.250 0.225
Tm2 Tm 0.146 0.750 0.602
Tm3 Tm 0.152 0.250 0.974
Ni1 Ni 0.053 0.750 0.108
Ni2 Ni 0.192 0.250 0.745
Ni3 Ni 0.200 0.250 0.454
Sn1 Sn 0.020 0.750 0.923
Sn2 Sn 0.031 0.250 0.734
Sn3 Sn 0.043 0.250 0.447
Sn4 Sn 0.175 0.750 0.368
Sn5 Sn 0.183 0.750 0.823
Sn6 Sn 0.215 0.750 0.105
```

Most intense lines, 2θ from 10° to 90°, by angle:
| Position (°2θ) | I (rel.) | (hkl) |
| --- | --- | --- |
| 29.57 | 28 | 2 1 3 |
| 30.75 | 21 | 4 1 1 |
| 32.42 | 26 | 1 1 4 |
| 33.87 | 100 | 2 1 4 |
| 35.12 | 97 | 5 1 1 |
| 36.17 | 33 | 3 1 4 |
| 38.43 | 36 | 6 0 3 |
| 40.96 | 58 | 0 2 0 |
| 53.89 | 23 | 6 2 0 |
| 57.41 | 23 | 6 2 3 |

***

Calculated powder diffraction line list
Compound: U3Ni3Sn4
Radiation: Cu Ka
Structure: a DFT-relaxed cell (GGA-PBE, the Materials Project)
Peak positions follow from Bragg's law for the DFT cell and can differ from measured ones.

Structural model:
```
data_U3Ni3Sn4
_space_group_name_H-M_alt 'I -4 3 d'
_space_group_IT_number 220
_space_group_name_Hall 'I -4bd 2c 3'
_cell_length_a 9.341
_cell_length_b 9.341
_cell_length_c 9.341
_cell_angle_alpha 90.00
_cell_angle_beta 90.00
_cell_angle_gamma 90.00
loop_
_atom_site_label
_atom_site_type_symbol
_atom_site_fract_x
_atom_site_fract_y
_atom_site_fract_z
U1 U 0.000 0.250 0.375
Ni1 Ni 0.000 0.250 0.875
Sn1 Sn 0.084 0.084 0.084
```

Most intense lines, 2θ from 10° to 90°, by angle:
| Position (°2θ) | I (rel.) | (hkl) |
| --- | --- | --- |
| 23.33 | 16 | 2 1 1 |
| 30.26 | 62 | 3 1 0 |
| 35.97 | 100 | 3 2 1 |
| 43.32 | 43 | 4 2 0 |
| 45.55 | 15 | 3 3 2 |
| 47.69 | 15 | 4 2 2 |
| 53.75 | 12 | 5 2 1 |
| 61.16 | 25 | 6 1 1 |
| 64.67 | 12 | 5 4 1 |
| 74.67 | 17 | 5 5 2 |

***

Calculated powder diffraction line list
Compound: UNi2Sn
Radiation: Cu Ka
Structure: a DFT-relaxed cell (GGA-PBE, the Materials Project)
Peak positions follow from Bragg's law for the DFT cell and can differ from measured ones.

Structural model:
```
data_UNi2Sn
_space_group_name_H-M_alt 'F m -3 m'
_space_group_IT_number 225
_space_group_name_Hall '-F 4 2 3'
_cell_length_a 6.455
_cell_length_b 6.455
_cell_length_c 6.455
_cell_angle_alpha 90.00
_cell_angle_beta 90.00
_cell_angle_gamma 90.00
loop_
_atom_site_label
_atom_site_type_symbol
_atom_site_fract_x
_atom_site_fract_y
_atom_site_fract_z
U1 U 0.000 0.000 0.000
Ni1 Ni 0.250 0.250 0.250
Sn1 Sn 0.000 0.000 0.500
```

Most intense lines, 2θ from 10° to 90°, by angle:
| Position (°2θ) | I (rel.) | (hkl) |
| --- | --- | --- |
| 23.88 | 11 | 1 1 1 |
| 27.64 | 26 | 2 0 0 |
| 39.48 | 100 | 2 2 0 |
| 46.67 | 6 | 3 1 1 |
| 48.87 | 8 | 2 2 2 |
| 57.07 | 17 | 4 0 0 |
| 62.74 | 3 | 3 3 1 |
| 64.56 | 11 | 4 2 0 |
| 71.61 | 35 | 4 2 2 |
| 85.00 | 12 | 4 4 0 |

***

Calculated powder diffraction line list
Compound: U2Ni2Sn
Radiation: Cu Ka
Structure: a DFT-relaxed cell (GGA-PBE, the Materials Project)
Peak positions follow from Bragg's law for the DFT cell and can differ from measured ones.

Structural model:
```
data_U2Ni2Sn
_space_group_name_H-M_alt 'P 4/m b m'
_space_group_IT_number 127
_space_group_name_Hall '-P 4 2ab'
_cell_length_a 7.094
_cell_length_b 7.094
_cell_length_c 3.859
_cell_angle_alpha 90.00
_cell_angle_beta 90.00
_cell_angle_gamma 90.00
loop_
_atom_site_label
_atom_site_type_symbol
_atom_site_fract_x
_atom_site_fract_y
_atom_site_fract_z
U1 U 0.162 0.338 0.000
Ni1 Ni 0.132 0.632 0.500
Sn1 Sn 0.000 0.000 0.500
```

Most intense lines, 2θ from 10° to 90°, by angle:
| Position (°2θ) | I (rel.) | (hkl) |
| --- | --- | --- |
| 28.13 | 31 | 2 1 0 |
| 29.20 | 16 | 1 1 1 |
| 34.34 | 30 | 2 0 1 |
| 36.67 | 100 | 2 1 1 |
| 40.20 | 37 | 3 1 0 |
| 47.10 | 16 | 0 0 2 |
| 58.76 | 15 | 4 1 1 |
| 60.33 | 15 | 3 3 1 |
| 63.61 | 19 | 3 1 2 |
| 76.40 | 16 | 5 2 1 |

***

Calculated powder diffraction line list
Compound: YNiSn2
Radiation: Cu Ka
Structure: a DFT-relaxed cell (GGA-PBE, the Materials Project)
Peak positions follow from Bragg's law for the DFT cell and can differ from measured ones.

Structural model:
```
data_YNiSn2
_space_group_name_H-M_alt 'P n m a'
_space_group_IT_number 62
_cell_length_a 16.117
_cell_length_b 4.447
_cell_length_c 14.723
_cell_angle_alpha 90.00
_cell_angle_beta 90.00
_cell_angle_gamma 90.00
loop_
_space_group_symop_operation_xyz
'x,y,z'
'-x,-y,-z'
'-x+1/2,-y,z+1/2'
'x+1/2,y,-z+1/2'
'x+1/2,-y+1/2,-z+1/2'
'-x+1/2,y+1/2,z+1/2'
'-x,y+1/2,-z'
'x,-y+1/2,z'
loop_
_atom_site_label
_atom_site_type_symbol
_atom_site_fract_x
_atom_site_fract_y
_atom_site_fract_z
Y1 Y 0.126 0.250 0.229
Y2 Y 0.145 0.750 0.606
Y3 Y 0.151 0.250 0.974
Ni1 Ni 0.051 0.750 0.105
Ni2 Ni 0.196 0.250 0.749
Ni3 Ni 0.201 0.250 0.455
Sn1 Sn 0.020 0.750 0.922
Sn2 Sn 0.034 0.250 0.739
Sn3 Sn 0.045 0.250 0.450
Sn4 Sn 0.174 0.750 0.372
Sn5 Sn 0.184 0.750 0.825
Sn6 Sn 0.214 0.750 0.106
```

Most intense lines, 2θ from 10° to 90°, by angle:
| Position (°2θ) | I (rel.) | (hkl) |
| --- | --- | --- |
| 29.28 | 45 | 2 1 3 |
| 32.05 | 19 | 1 1 4 |
| 33.50 | 100 | 2 1 4 |
| 34.74 | 24 | 3 0 5 |
| 34.91 | 64 | 5 1 1 |
| 35.81 | 25 | 3 1 4 |
| 38.19 | 39 | 6 0 3 |
| 40.57 | 65 | 0 2 0 |
| 46.54 | 19 | 6 1 4 |
| 56.94 | 24 | 6 2 3 |

***

Calculated powder diffraction line list
Compound: Y2Ni2Sn
Radiation: Cu Ka
Structure: a DFT-relaxed cell (GGA-PBE, the Materials Project)
Peak positions follow from Bragg's law for the DFT cell and can differ from measured ones.

Structural model:
```
data_Y2Ni2Sn
_space_group_name_H-M_alt 'I m m m'
_space_group_IT_number 71
_space_group_name_Hall '-I 2 2'
_cell_length_a 4.276
_cell_length_b 5.633
_cell_length_c 8.303
_cell_angle_alpha 90.00
_cell_angle_beta 90.00
_cell_angle_gamma 90.00
loop_
_atom_site_label
_atom_site_type_symbol
_atom_site_fract_x
_atom_site_fract_y
_atom_site_fract_z
Y1 Y 0.000 0.000 0.204
Ni1 Ni 0.000 0.286 0.500
Sn1 Sn 0.000 0.500 0.000
```

Most intense lines, 2θ from 10° to 90°, by angle:
| Position (°2θ) | I (rel.) | (hkl) |
| --- | --- | --- |
| 31.77 | 11 | 0 2 0 |
| 34.05 | 100 | 1 1 2 |
| 36.16 | 25 | 0 1 3 |
| 39.83 | 60 | 1 2 1 |
| 42.27 | 28 | 2 0 0 |
| 43.61 | 14 | 0 0 4 |
| 56.82 | 13 | 2 1 3 |
| 59.49 | 12 | 0 3 3 |
| 69.26 | 23 | 1 2 5 |
| 75.66 | 21 | 2 3 3 |

***

Calculated powder diffraction line list
Compound: Zr2Ni2Sn
Radiation: Cu Ka
Structure: a DFT-relaxed cell (GGA-PBE, the Materials Project)
Peak positions follow from Bragg's law for the DFT cell and can differ from measured ones.

Structural model:
```
data_Zr2Ni2Sn
_space_group_name_H-M_alt 'P 4/m b m'
_space_group_IT_number 127
_space_group_name_Hall '-P 4 2ab'
_cell_length_a 7.132
_cell_length_b 7.132
_cell_length_c 3.434
_cell_angle_alpha 90.00
_cell_angle_beta 90.00
_cell_angle_gamma 90.00
loop_
_atom_site_label
_atom_site_type_symbol
_atom_site_fract_x
_atom_site_fract_y
_atom_site_fract_z
Zr1 Zr 0.169 0.331 0.000
Ni1 Ni 0.125 0.625 0.500
Sn1 Sn 0.000 0.000 0.500
```

Most intense lines, 2θ from 10° to 90°, by angle:
| Position (°2θ) | I (rel.) | (hkl) |
| --- | --- | --- |
| 31.52 | 16 | 1 1 1 |
| 35.60 | 18 | 2 2 0 |
| 36.32 | 54 | 2 0 1 |
| 38.52 | 100 | 2 1 1 |
| 39.97 | 66 | 3 1 0 |
| 53.35 | 17 | 0 0 2 |
| 61.40 | 16 | 3 3 1 |
| 68.70 | 26 | 3 1 2 |
| 73.03 | 19 | 5 1 1 |
| 77.19 | 12 | 5 2 1 |

***

Calculated powder diffraction line list
Compound: Zr2Ni2Sn
Radiation: Cu Ka
Structure: a DFT-relaxed cell (GGA-PBE, the Materials Project)
Peak positions follow from Bragg's law for the DFT cell and can differ from measured ones.

Structural model:
```
data_Zr2Ni2Sn
_space_group_name_H-M_alt 'P 42/m n m'
_space_group_IT_number 136
_space_group_name_Hall '-P 4n 2n'
_cell_length_a 7.111
_cell_length_b 7.111
_cell_length_c 6.854
_cell_angle_alpha 90.00
_cell_angle_beta 90.00
_cell_angle_gamma 90.00
loop_
_atom_site_label
_atom_site_type_symbol
_atom_site_fract_x
_atom_site_fract_y
_atom_site_fract_z
Zr1 Zr 0.155 0.155 0.000
Zr2 Zr 0.183 0.183 0.500
Ni1 Ni 0.125 0.875 0.285
Sn1 Sn 0.000 0.500 0.250
```

Most intense lines, 2θ from 10° to 90°, by angle:
| Position (°2θ) | I (rel.) | (hkl) |
| --- | --- | --- |
| 31.59 | 21 | 1 1 2 |
| 35.71 | 20 | 2 2 0 |
| 36.41 | 59 | 2 0 2 |
| 38.62 | 100 | 2 1 2 |
| 40.10 | 71 | 3 1 0 |
| 53.48 | 15 | 0 0 4 |
| 60.05 | 11 | 4 1 2 |
| 61.59 | 15 | 3 3 2 |
| 68.89 | 24 | 3 1 4 |
| 73.28 | 16 | 5 1 2 |

***

Calculated powder diffraction line list
Compound: ZrNiSn
Radiation: Cu Ka
Structure: a DFT-relaxed cell (GGA-PBE, the Materials Project)
Peak positions follow from Bragg's law for the DFT cell and can differ from measured ones.

Structural model:
```
data_ZrNiSn
_space_group_name_H-M_alt 'F -4 3 m'
_space_group_IT_number 216
_space_group_name_Hall 'F -4 2 3'
_cell_length_a 6.362
_cell_length_b 6.362
_cell_length_c 6.362
_cell_angle_alpha 90.00
_cell_angle_beta 90.00
_cell_angle_gamma 90.00
loop_
_atom_site_label
_atom_site_type_symbol
_atom_site_fract_x
_atom_site_fract_y
_atom_site_fract_z
Zr1 Zr 0.000 0.000 0.000
Ni1 Ni 0.000 0.000 0.500
Sn1 Sn 0.250 0.250 0.250
```

Most intense lines, 2θ from 10° to 90°, by angle:
| Position (°2θ) | I (rel.) | (hkl) |
| --- | --- | --- |
| 24.23 | 49 | 1 1 1 |
| 28.05 | 3 | 2 0 0 |
| 40.09 | 100 | 2 2 0 |
| 47.39 | 25 | 3 1 1 |
| 57.98 | 17 | 4 0 0 |
| 63.76 | 11 | 3 3 1 |
| 72.83 | 34 | 4 2 2 |
| 78.04 | 8 | 5 1 1 |
| 86.54 | 11 | 4 4 0 |

***

Calculated powder diffraction line list
Compound: ZrNiSn
Radiation: Cu Ka
Structure: a DFT-relaxed cell (GGA-PBE, the Materials Project)
Peak positions follow from Bragg's law for the DFT cell and can differ from measured ones.

Structural model:
```
data_ZrNiSn
_space_group_name_H-M_alt 'F -4 3 m'
_space_group_IT_number 216
_space_group_name_Hall 'F -4 2 3'
_cell_length_a 6.467
_cell_length_b 6.467
_cell_length_c 6.467
_cell_angle_alpha 90.00
_cell_angle_beta 90.00
_cell_angle_gamma 90.00
loop_
_atom_site_label
_atom_site_type_symbol
_atom_site_fract_x
_atom_site_fract_y
_atom_site_fract_z
Zr1 Zr 0.000 0.000 0.000
Ni1 Ni 0.250 0.250 0.750
Sn1 Sn 0.250 0.250 0.250
```

Most intense lines, 2θ from 10° to 90°, by angle:
| Position (°2θ) | I (rel.) | (hkl) |
| --- | --- | --- |
| 23.83 | 38 | 1 1 1 |
| 27.58 | 14 | 2 0 0 |
| 39.41 | 100 | 2 2 0 |
| 46.58 | 19 | 3 1 1 |
| 56.95 | 17 | 4 0 0 |
| 62.61 | 8 | 3 3 1 |
| 71.46 | 34 | 4 2 2 |
| 76.54 | 6 | 5 1 1 |
| 84.80 | 11 | 4 4 0 |
| 89.69 | 7 | 5 3 1 |